For NaCa2Fe5Si8O24, a crystal structure in Alexandria, relaxed with GGA+U gives the simulated powder diffraction line list in this record (Cu Ka).
No peak broadening, texture or thermal motion is included.

Structure:
Unit cell a=10.5217 b=10.5217 c=5.3687 alpha=96.65 beta=96.65 gamma=122.96
Sites, in units of the cell vectors:
Na 0.0000 0.0000 0.0000
Ca 0.2289 0.7711 0.5000
Ca 0.7711 0.2289 0.5000
Fe 0.3221 0.6779 0.0000
Fe 0.4220 0.5780 0.5000
Fe 0.5000 0.5000 0.0000
Fe 0.5780 0.4220 0.5000
Fe 0.6779 0.3221 0.0000
Si 0.0432 0.3781 0.2084
Si 0.1362 0.3035 0.7139
Si 0.3035 0.1362 0.7139
Si 0.3781 0.0432 0.2084
Si 0.6219 0.9568 0.7916
Si 0.6965 0.8638 0.2861
Si 0.8638 0.6965 0.2861
Si 0.9568 0.6219 0.7916
O 0.0272 0.2763 0.9278
O 0.0304 0.2713 0.4308
O 0.1110 0.6238 0.7970
O 0.1607 0.1607 0.7050
O 0.2074 0.5479 0.2873
O 0.2713 0.0304 0.4308
O 0.2763 0.0272 0.9278
O 0.2938 0.4746 0.7832
O 0.3762 0.8890 0.2030
O 0.3957 0.3957 0.2836
O 0.4521 0.7926 0.7127
O 0.4746 0.2938 0.7832
O 0.5254 0.7062 0.2168
O 0.5479 0.2074 0.2873
O 0.6043 0.6043 0.7164
O 0.6238 0.1110 0.7970
O 0.7062 0.5254 0.2168
O 0.7237 0.9728 0.0722
O 0.7287 0.9696 0.5692
O 0.7926 0.4521 0.7127
O 0.8393 0.8393 0.2950
O 0.8890 0.3762 0.2030
O 0.9696 0.7287 0.5692
O 0.9728 0.7237 0.0722

Principal peaks in the range 2θ = 10–90°, in order of falling intensity:
2θ/deg, intensity
10.26, 100
32.29, 52
27.88, 41
34.90, 39
25.71, 33
33.79, 32
40.69, 28
60.07, 23
54.17, 19
26.58, 19
63.33, 17
37.74, 16